Entry 1:
The following is a computed powder diffractogram of LaNiSn2. It was derived from a cell relaxed with GGA-PBE, using Cu Ka.
Neutral-atom scattering factors, no anomalous dispersion.

Main lines, by angle (10° ≤ 2θ ≤ 80°):
| 2theta | d (Å) | intensity |
| --- | --- | --- |
| 31.33 | 2.855 | 100 |
| 31.43 | 2.846 | 20 |
| 35.39 | 2.537 | 26 |
| 39.17 | 2.300 | 27 |
| 39.64 | 2.274 | 26 |
| 49.21 | 1.851 | 11 |
| 54.16 | 1.693 | 17 |
| 56.95 | 1.617 | 19 |
| 66.12 | 1.413 | 12 |
| 66.78 | 1.401 | 14 |

Cell and atoms:
```
data_LaNiSn2
_space_group_name_H-M_alt 'C m c m'
_space_group_IT_number 63
_space_group_name_Hall '-C 2c 2'
_cell_length_a 4.5477
_cell_length_b 18.2439
_cell_length_c 4.5996
_cell_angle_alpha 90.00
_cell_angle_beta 90.00
_cell_angle_gamma 90.00
loop_
_atom_site_label
_atom_site_type_symbol
_atom_site_fract_x
_atom_site_fract_y
_atom_site_fract_z
La1 La 0.0000 0.1098 0.2500
Ni1 Ni 0.0000 0.3168 0.2500
Sn1 Sn 0.0000 0.2510 0.7500
Sn2 Sn 0.0000 0.4531 0.2500
```

Entry 2:
The following is a computed powder diffractogram of LaNi2Sn2. It was derived from a cell relaxed with GGA-PBE, using Cu Ka.
Neutral-atom scattering factors, no anomalous dispersion.

Main lines, by angle (10° ≤ 2θ ≤ 80°):
| 2theta | d (Å) | intensity |
| --- | --- | --- |
| 33.02 | 2.713 | 69 |
| 33.23 | 2.696 | 100 |
| 40.17 | 2.245 | 74 |
| 45.59 | 1.990 | 23 |
| 48.99 | 1.859 | 23 |
| 52.95 | 1.729 | 36 |
| 58.11 | 1.587 | 25 |
| 61.85 | 1.500 | 16 |
| 65.15 | 1.432 | 19 |
| 68.61 | 1.368 | 24 |

Cell and atoms:
```
data_LaNi2Sn2
_space_group_name_H-M_alt 'P 4/n m m'
_space_group_IT_number 129
_cell_length_a 4.4895
_cell_length_b 4.4895
_cell_length_c 10.2132
_cell_angle_alpha 90.00
_cell_angle_beta 90.00
_cell_angle_gamma 90.00
loop_
_space_group_symop_operation_xyz
'x,y,z'
'-x,-y,-z'
'-y+1/2,x,z'
'y+1/2,-x,-z'
'-x+1/2,-y+1/2,z'
'x+1/2,y+1/2,-z'
'y,-x+1/2,z'
'-y,x+1/2,-z'
'x+1/2,-y,-z'
'-x+1/2,y,z'
'-y,-x,-z'
'y,x,z'
'-x,y+1/2,-z'
'x,-y+1/2,z'
'y+1/2,x+1/2,-z'
'-y+1/2,-x+1/2,z'
loop_
_atom_site_label
_atom_site_type_symbol
_atom_site_fract_x
_atom_site_fract_y
_atom_site_fract_z
La1 La 0.2500 0.2500 0.2424
Ni1 Ni 0.2500 0.2500 0.6275
Ni2 Ni 0.2500 0.7500 0.0000
Sn1 Sn 0.2500 0.2500 0.8761
Sn2 Sn 0.2500 0.7500 0.5000
```